# MoH6NO3F2
Calculated XRD peak list, Cu Ka. Input: a DFT-relaxed cell (PBE+U, Alexandria).

Structural model:
```
52
Lattice="4.7286 -7.2958 0.0000 4.7286 7.2958 0.0000 -3.1694 0.0000 7.3393" Properties=species:S:1:pos:R:3 pbc="T T T"
Mo 1.0605 5.2541 5.6353
Mo 3.6427 5.2541 5.3737
Mo 2.6452 -5.2541 1.9656
Mo 5.2274 -5.2541 1.7040
H -0.6669 0.7849 4.5980
H 3.4352 4.2408 1.1541
H -0.9444 0.7593 6.2038
H 0.9178 -0.7849 0.9283
H 0.6403 -0.7593 2.5342
H 3.2586 3.0313 2.3400
H 4.4374 4.2408 2.5156
H 4.6140 3.0313 1.3296
H 2.2744 1.3677 4.6505
H 1.4986 0.1967 5.5806
H 3.0833 -0.1967 1.9109
H 2.4288 1.3677 6.3585
H 3.8591 -1.3677 0.9809
H 3.2046 0.1967 5.4284
H 4.7893 -0.1967 1.7588
H 4.0135 -1.3677 2.6888
H 1.6739 -3.0313 6.0097
H 1.8505 -4.2408 4.8238
H 3.0293 -3.0313 4.9993
H 5.6476 0.7593 4.8052
H 5.3701 0.7849 6.4110
H 7.2323 -0.7593 1.1355
H 2.8527 -4.2408 6.1852
H 6.9548 -0.7849 2.7414
N 3.9363 3.6427 1.8348
N 2.3516 0.7763 5.5045
N 3.9363 -0.7763 1.8348
N 2.3516 -3.6427 5.5045
O 2.2045 5.6504 4.0791
O 0.8346 3.5509 5.6998
O -0.6171 0.2192 5.4347
O 2.4987 5.6504 6.9299
O 0.9676 -0.2192 1.7651
O 3.8686 3.5509 5.3092
O 2.4193 -3.5509 2.0301
O 5.3203 0.2192 5.5743
O 3.7892 -5.6504 0.4094
O 6.9050 -0.2192 1.9046
O 5.4533 -3.5509 1.6396
O 4.0834 -5.6504 3.2603
F 1.7848 1.7412 0.0986
F 2.1750 1.8251 2.9282
F 0.2001 -1.7412 3.7682
F 0.5903 -1.8251 6.5979
F 5.6975 1.8251 0.7415
F 6.0878 1.7412 3.5711
F 4.1128 -1.8251 4.4111
F 4.5031 -1.7412 7.2408
```

The 10 most intense peaks (15 to 90 degrees two-theta), sorted by position:
2θ (°)  I/Imax
17.14  100
19.65  24
20.93  19
24.25  25
24.40  21
28.95  13
31.50  18
38.13  24
39.01  19
49.90  11